# 1
For ZrTiH4, the GGA-PBE geometry in Alexandria gives the computed X-ray diffraction stick pattern in this record (Cu Kα (λ = 1.5418 Å)).
Kinematic intensities with the Lorentz-polarization factor, no thermal factor.

```
data_ZrTiH4
_symmetry_space_group_name_H-M 'I 41/a m d'
_symmetry_Int_Tables_number 141
_cell_length_a 4.788
_cell_length_b 4.788
_cell_length_c 8.513
_cell_angle_alpha 90.00
_cell_angle_beta 90.00
_cell_angle_gamma 90.00
loop_
_symmetry_equiv_pos_as_xyz
'x,y,z'
'-x,-y,-z'
'-y+1/4,x+3/4,z+1/4'
'y+1/4,-x+3/4,-z+1/4'
'-x+1/2,-y,z+1/2'
'x+1/2,y,-z+1/2'
'y+1/4,-x+1/4,z+3/4'
'-y+1/4,x+1/4,-z+3/4'
'x,-y,-z'
'-x,y,z'
'-y+1/4,-x+1/4,-z+3/4'
'y+1/4,x+1/4,z+3/4'
'-x+1/2,y,-z+1/2'
'x+1/2,-y,z+1/2'
'y+1/4,x+3/4,-z+1/4'
'-y+1/4,-x+3/4,z+1/4'
'x+1/2,y+1/2,z+1/2'
'-x+1/2,-y+1/2,-z+1/2'
'-y+3/4,x+1/4,z+3/4'
'y+3/4,-x+1/4,-z+3/4'
'-x,-y+1/2,z'
'x,y+1/2,-z'
'y+3/4,-x+3/4,z+1/4'
'-y+3/4,x+3/4,-z+1/4'
'x+1/2,-y+1/2,-z+1/2'
'-x+1/2,y+1/2,z+1/2'
'-y+3/4,-x+3/4,-z+1/4'
'y+3/4,x+3/4,z+1/4'
'-x,y+1/2,-z'
'x,-y+1/2,z'
'y+3/4,x+1/4,-z+3/4'
'-y+3/4,-x+1/4,z+3/4'
loop_
_atom_site_label
_atom_site_type_symbol
_atom_site_fract_x
_atom_site_fract_y
_atom_site_fract_z
Zr1 Zr 0.000 0.250 0.375
Ti1 Ti 0.000 0.250 0.875
H1 H 0.230 0.000 0.000
```

Principal peaks in the range 2θ from 15° to 90°, most intense first:
2θ/deg, I (rel.)
33.83, 100
37.57, 34
65.43, 27
57.98, 21
21.29, 16
54.18, 13
42.47, 12
71.17, 10
72.19, 10
89.94, 6

***

# 2
For ScCdFeNi2, the GGA-PBE geometry in Alexandria gives the computed X-ray diffraction stick pattern in this record (Cu Kα (λ = 1.5418 Å)).
Kinematic intensities with the Lorentz-polarization factor, no thermal factor.

```
data_ScCdFeNi2
_symmetry_space_group_name_H-M 'P 4/m m m'
_symmetry_Int_Tables_number 123
_symmetry_space_group_name_Hall '-P 4 2'
_cell_length_a 4.643
_cell_length_b 4.643
_cell_length_c 4.710
_cell_angle_alpha 90.00
_cell_angle_beta 90.00
_cell_angle_gamma 90.00
loop_
_atom_site_label
_atom_site_type_symbol
_atom_site_fract_x
_atom_site_fract_y
_atom_site_fract_z
Sc1 Sc 0.000 0.000 0.000
Cd1 Cd 0.500 0.500 0.500
Fe1 Fe 0.500 0.500 0.000
Ni1 Ni 0.000 0.500 0.500
```

Principal peaks in the range 2θ from 15° to 90°, most intense first:
2θ/deg, I (rel.)
38.79, 100
19.11, 83
55.59, 66
38.22, 52
18.84, 51
26.96, 44
33.26, 37
56.01, 32
69.84, 31
43.46, 24

***

# 3
For Np3NbP4, the GGA-PBE geometry in Alexandria gives the computed X-ray diffraction stick pattern in this record (Cu Kα (λ = 1.5418 Å)).
Kinematic intensities with the Lorentz-polarization factor, no thermal factor.

```
data_Np3NbP4
_symmetry_space_group_name_H-M 'P 1 2/c 1'
_symmetry_Int_Tables_number 13
_symmetry_space_group_name_Hall '-P 2yc'
_cell_length_a 6.640
_cell_length_b 7.656
_cell_length_c 6.696
_cell_angle_alpha 90.00
_cell_angle_beta 109.55
_cell_angle_gamma 90.00
loop_
_atom_site_label
_atom_site_type_symbol
_atom_site_fract_x
_atom_site_fract_y
_atom_site_fract_z
Np1 Np 0.000 0.122 0.250
Np2 Np 0.000 0.370 0.750
Np3 Np 0.500 0.372 0.250
Nb1 Nb 0.500 0.129 0.750
P1 P 0.257 0.368 0.507
P2 P 0.266 0.115 0.001
```

Principal peaks in the range 2θ from 15° to 90°, most intense first:
2θ/deg, I (rel.)
28.51, 100
33.02, 87
47.47, 47
32.89, 44
28.29, 34
47.13, 32
56.24, 27
59.01, 25
56.02, 22
47.27, 16